Entry 1:
Starting from a structure optimized by DFT (GGA-PBE), the powder diffractogram of CePm3Pb6 was computed for a wavelength of 1.5418 Å.

Structure:
```
data_CePm3Pb6
_chemical_formula_sum 'Ce2 Pm6 Pb12'
_symmetry_space_group_name_H-M 'P 1'
_symmetry_Int_Tables_number 1
_symmetry_space_group_name_Hall 'P 1'
_cell_length_a 7.6126
_cell_length_b 9.6102
_cell_length_c 11.1938
_cell_angle_alpha 90.00
_cell_angle_beta 128.63
_cell_angle_gamma 90.00
loop_
_atom_site_label
_atom_site_type_symbol
_atom_site_fract_x
_atom_site_fract_y
_atom_site_fract_z
_atom_site_occupancy
Ce1 Ce 0.0000 0.0000 0.0000 1
Ce2 Ce 0.0000 0.5000 0.5000 1
Pm1 Pm 0.2128 0.1091 0.6779 1
Pm2 Pm 0.2128 0.3909 0.1779 1
Pm3 Pm 0.5000 0.0000 0.5000 1
Pm4 Pm 0.5000 0.5000 0.0000 1
Pm5 Pm 0.7872 0.6091 0.8221 1
Pm6 Pm 0.7872 0.8909 0.3221 1
Pb1 Pb 0.0012 0.1781 0.2887 1
Pb2 Pb 0.0012 0.3219 0.7887 1
Pb3 Pb 0.3055 0.7278 0.0975 1
Pb4 Pb 0.3055 0.7722 0.5975 1
Pb5 Pb 0.4408 0.1496 0.0552 1
Pb6 Pb 0.4408 0.3504 0.5552 1
Pb7 Pb 0.5592 0.6496 0.4448 1
Pb8 Pb 0.5592 0.8504 0.9448 1
Pb9 Pb 0.6945 0.2278 0.4025 1
Pb10 Pb 0.6945 0.2722 0.9025 1
Pb11 Pb 0.9988 0.6781 0.2113 1
Pb12 Pb 0.9988 0.8219 0.7113 1
```

Largest 6 diffraction maxima, by angle, 10° ≤ 2θ ≤ 80°:
| 2θ/deg | d [Å] | Rel. int. |
| --- | --- | --- |
| 30.00 | 2.978 | 84 |
| 30.28 | 2.952 | 67 |
| 30.61 | 2.920 | 73 |
| 31.17 | 2.869 | 79 |
| 32.10 | 2.788 | 100 |
| 33.67 | 2.662 | 100 |

=====

Entry 2:
Starting from a structure optimized by DFT (GGA-PBE), the powder diffractogram of Cs2NpO6 was computed for a wavelength of 1.5418 Å.

Structure:
```
data_Cs2NpO6
_chemical_formula_sum 'Cs2 Np1 O6'
_symmetry_space_group_name_H-M 'P 1'
_symmetry_Int_Tables_number 1
_symmetry_space_group_name_Hall 'P 1'
_cell_length_a 7.4285
_cell_length_b 7.4285
_cell_length_c 5.0491
_cell_angle_alpha 109.65
_cell_angle_beta 109.65
_cell_angle_gamma 51.74
loop_
_atom_site_label
_atom_site_type_symbol
_atom_site_fract_x
_atom_site_fract_y
_atom_site_fract_z
_atom_site_occupancy
Cs1 Cs 0.1663 0.1663 0.1666 1
Cs2 Cs 0.8337 0.8337 0.8334 1
Np1 Np 0.5000 0.5000 0.5000 1
O1 O 0.1866 0.5898 0.3891 1
O2 O 0.3959 0.6041 0.0000 1
O3 O 0.4102 0.8134 0.6109 1
O4 O 0.5898 0.1866 0.3891 1
O5 O 0.6041 0.3959 0.0000 1
O6 O 0.8134 0.4102 0.6109 1
```

Largest 6 diffraction maxima, by angle, 10° ≤ 2θ ≤ 80°:
| 2θ/deg | d [Å] | Rel. int. |
| --- | --- | --- |
| 22.32 | 3.983 | 100 |
| 25.56 | 3.485 | 79 |
| 27.52 | 3.241 | 25 |
| 27.84 | 3.205 | 22 |
| 35.56 | 2.525 | 23 |
| 39.59 | 2.277 | 50 |

=====

Entry 3:
Starting from a structure optimized by DFT (GGA-PBE), the powder diffractogram of Ca2YSbO5 was computed for a wavelength of 1.5418 Å.

Structure:
```
data_Ca2YSbO5
_chemical_formula_sum 'Ca4 Y2 Sb2 O10'
_symmetry_space_group_name_H-M 'P 1'
_symmetry_Int_Tables_number 1
_symmetry_space_group_name_Hall 'P 1'
_cell_length_a 9.1615
_cell_length_b 9.1615
_cell_length_c 5.9578
_cell_angle_alpha 107.41
_cell_angle_beta 107.41
_cell_angle_gamma 42.85
loop_
_atom_site_label
_atom_site_type_symbol
_atom_site_fract_x
_atom_site_fract_y
_atom_site_fract_z
_atom_site_occupancy
Ca1 Ca 0.1616 0.8384 0.5000 1
Ca2 Ca 0.5504 0.9703 0.8468 1
Ca3 Ca 0.8384 0.1616 0.0000 1
Ca4 Ca 0.9703 0.5504 0.3468 1
Y1 Y 0.2173 0.5322 0.8949 1
Y2 Y 0.5322 0.2173 0.3949 1
Sb1 Sb 0.3682 0.9673 0.2846 1
Sb2 Sb 0.9673 0.3682 0.7846 1
O1 O 0.0983 0.8242 0.1101 1
O2 O 0.2077 0.3105 0.0254 1
O3 O 0.2530 0.5480 0.5525 1
O4 O 0.3105 0.2077 0.5254 1
O5 O 0.4350 0.8281 0.5451 1
O6 O 0.5480 0.2530 0.0525 1
O7 O 0.6342 0.8883 0.2466 1
O8 O 0.8242 0.0983 0.6101 1
O9 O 0.8281 0.4350 0.0451 1
O10 O 0.8883 0.6342 0.7466 1
```

Largest 6 diffraction maxima, by angle, 10° ≤ 2θ ≤ 80°:
| 2θ/deg | d [Å] | Rel. int. |
| --- | --- | --- |
| 10.96 | 8.076 | 64 |
| 19.96 | 4.449 | 72 |
| 22.60 | 3.934 | 66 |
| 26.63 | 3.347 | 53 |
| 30.01 | 2.978 | 61 |
| 30.21 | 2.958 | 100 |

=====

Entry 4:
Starting from a structure optimized by DFT (GGA-PBE), the powder diffractogram of SmYAgOs was computed for a wavelength of 1.5418 Å.

Structure:
```
data_SmYAgOs
_chemical_formula_sum 'Sm4 Y4 Ag4 Os4'
_symmetry_space_group_name_H-M 'P 1'
_symmetry_Int_Tables_number 1
_symmetry_space_group_name_Hall 'P 1'
_cell_length_a 7.0822
_cell_length_b 7.0822
_cell_length_c 7.0822
_cell_angle_alpha 90.00
_cell_angle_beta 90.00
_cell_angle_gamma 90.00
loop_
_atom_site_label
_atom_site_type_symbol
_atom_site_fract_x
_atom_site_fract_y
_atom_site_fract_z
_atom_site_occupancy
Sm1 Sm 0.0000 0.0000 0.0000 1
Sm2 Sm 0.0000 0.5000 0.5000 1
Sm3 Sm 0.5000 0.0000 0.5000 1
Sm4 Sm 0.5000 0.5000 0.0000 1
Y1 Y 0.0000 0.0000 0.5000 1
Y2 Y 0.0000 0.5000 0.0000 1
Y3 Y 0.5000 0.0000 0.0000 1
Y4 Y 0.5000 0.5000 0.5000 1
Ag1 Ag 0.2500 0.2500 0.7500 1
Ag2 Ag 0.2500 0.7500 0.2500 1
Ag3 Ag 0.7500 0.2500 0.2500 1
Ag4 Ag 0.7500 0.7500 0.7500 1
Os1 Os 0.2500 0.2500 0.2500 1
Os2 Os 0.2500 0.7500 0.7500 1
Os3 Os 0.7500 0.2500 0.7500 1
Os4 Os 0.7500 0.7500 0.2500 1
```

Largest 6 diffraction maxima, by angle, 10° ≤ 2θ ≤ 80°:
| 2θ/deg | d [Å] | Rel. int. |
| --- | --- | --- |
| 21.74 | 4.089 | 7 |
| 35.86 | 2.504 | 100 |
| 42.33 | 2.135 | 4 |
| 51.62 | 1.771 | 18 |
| 64.45 | 1.446 | 36 |
| 76.02 | 1.252 | 11 |

=====

Entry 5:
Starting from a structure optimized by DFT (GGA-PBE), the powder diffractogram of Cu3I6O20 was computed for a wavelength of 1.5418 Å.

Structure:
```
data_Cu3I6O20
_chemical_formula_sum 'Cu3 I6 O20'
_symmetry_space_group_name_H-M 'P 1'
_symmetry_Int_Tables_number 1
_symmetry_space_group_name_Hall 'P 1'
_cell_length_a 7.2677
_cell_length_b 7.5927
_cell_length_c 8.5040
_cell_angle_alpha 104.96
_cell_angle_beta 93.59
_cell_angle_gamma 94.60
loop_
_atom_site_label
_atom_site_type_symbol
_atom_site_fract_x
_atom_site_fract_y
_atom_site_fract_z
_atom_site_occupancy
Cu1 Cu 0.0000 0.0000 0.0000 1
Cu2 Cu 0.4160 0.3720 0.5869 1
Cu3 Cu 0.5840 0.6280 0.4131 1
I1 I 0.1487 0.5874 0.8620 1
I2 I 0.1907 0.8600 0.4101 1
I3 I 0.4015 0.1162 0.8616 1
I4 I 0.5985 0.8838 0.1384 1
I5 I 0.8093 0.1400 0.5899 1
I6 I 0.8513 0.4126 0.1380 1
O1 O 0.0738 0.8109 0.8322 1
O2 O 0.0749 0.5496 0.1706 1
O3 O 0.1688 0.1667 0.9422 1
O4 O 0.1938 0.0888 0.5550 1
O5 O 0.2066 0.5228 0.6469 1
O6 O 0.2626 0.9193 0.2265 1
O7 O 0.3939 0.4227 0.3793 1
O8 O 0.4167 0.8144 0.4985 1
O9 O 0.4265 0.3438 0.8172 1
O10 O 0.4625 0.8116 0.9401 1
O11 O 0.5375 0.1884 0.0599 1
O12 O 0.5735 0.6562 0.1828 1
O13 O 0.5833 0.1856 0.5015 1
O14 O 0.6061 0.5773 0.6207 1
O15 O 0.7374 0.0807 0.7735 1
O16 O 0.7934 0.4772 0.3531 1
O17 O 0.8062 0.9112 0.4450 1
O18 O 0.8312 0.8333 0.0578 1
O19 O 0.9251 0.4504 0.8294 1
O20 O 0.9262 0.1891 0.1678 1
```

Largest 6 diffraction maxima, by angle, 10° ≤ 2θ ≤ 80°:
| 2θ/deg | d [Å] | Rel. int. |
| --- | --- | --- |
| 23.28 | 3.821 | 100 |
| 24.05 | 3.700 | 40 |
| 25.51 | 3.492 | 39 |
| 25.94 | 3.435 | 38 |
| 26.26 | 3.394 | 55 |
| 28.69 | 3.112 | 65 |

=====

Entry 6:
Starting from a structure optimized by DFT (GGA-PBE), the powder diffractogram of Cd2As2Pd5 was computed for a wavelength of 1.5418 Å.

Structure:
```
data_Cd2As2Pd5
_chemical_formula_sum 'Cd4 As4 Pd10'
_symmetry_space_group_name_H-M 'P 1'
_symmetry_Int_Tables_number 1
_symmetry_space_group_name_Hall 'P 1'
_cell_length_a 7.7710
_cell_length_b 7.7710
_cell_length_c 5.8818
_cell_angle_alpha 90.00
_cell_angle_beta 90.00
_cell_angle_gamma 62.06
loop_
_atom_site_label
_atom_site_type_symbol
_atom_site_fract_x
_atom_site_fract_y
_atom_site_fract_z
_atom_site_occupancy
Cd1 Cd 0.2422 0.2422 0.0000 1
Cd2 Cd 0.2578 0.2578 0.5000 1
Cd3 Cd 0.7422 0.7422 0.5000 1
Cd4 Cd 0.7578 0.7578 0.0000 1
As1 As 0.1561 0.8439 0.5044 1
As2 As 0.3439 0.6561 0.0044 1
As3 As 0.6561 0.3439 0.9956 1
As4 As 0.8439 0.1561 0.4956 1
Pd1 Pd 0.0000 0.0000 0.0000 1
Pd2 Pd 0.1087 0.6098 0.2526 1
Pd3 Pd 0.1098 0.6087 0.7526 1
Pd4 Pd 0.3902 0.8913 0.2526 1
Pd5 Pd 0.3913 0.8902 0.7526 1
Pd6 Pd 0.5000 0.5000 0.5000 1
Pd7 Pd 0.6087 0.1098 0.2474 1
Pd8 Pd 0.6098 0.1087 0.7474 1
Pd9 Pd 0.8902 0.3913 0.2474 1
Pd10 Pd 0.8913 0.3902 0.7474 1
```

Largest 6 diffraction maxima, by angle, 10° ≤ 2θ ≤ 80°:
| 2θ/deg | d [Å] | Rel. int. |
| --- | --- | --- |
| 35.05 | 2.561 | 89 |
| 37.60 | 2.392 | 24 |
| 37.96 | 2.371 | 80 |
| 40.94 | 2.204 | 100 |
| 45.28 | 2.003 | 21 |
| 62.68 | 1.482 | 27 |

=====

Entry 7:
Starting from a structure optimized by DFT (GGA-PBE), the powder diffractogram of Nb2Ir2Ru3 was computed for a wavelength of 1.5418 Å.

Structure:
```
data_Nb2Ir2Ru3
_chemical_formula_sum 'Nb4 Ir4 Ru6'
_symmetry_space_group_name_H-M 'P 1'
_symmetry_Int_Tables_number 1
_symmetry_space_group_name_Hall 'P 1'
_cell_length_a 6.6540
_cell_length_b 6.6540
_cell_length_c 6.6540
_cell_angle_alpha 109.47
_cell_angle_beta 109.47
_cell_angle_gamma 109.47
loop_
_atom_site_label
_atom_site_type_symbol
_atom_site_fract_x
_atom_site_fract_y
_atom_site_fract_z
_atom_site_occupancy
Nb1 Nb 0.0000 0.4574 0.5000 1
Nb2 Nb 0.0426 0.0426 0.0426 1
Nb3 Nb 0.4574 0.5000 0.0000 1
Nb4 Nb 0.5000 0.0000 0.4574 1
Ir1 Ir 0.0000 0.8317 0.5000 1
Ir2 Ir 0.5000 0.0000 0.8317 1
Ir3 Ir 0.6683 0.6683 0.6683 1
Ir4 Ir 0.8317 0.5000 0.0000 1
Ru1 Ru 0.2220 0.7500 0.9720 1
Ru2 Ru 0.2500 0.5280 0.2780 1
Ru3 Ru 0.2780 0.2500 0.5280 1
Ru4 Ru 0.5280 0.2780 0.2500 1
Ru5 Ru 0.7500 0.9720 0.2220 1
Ru6 Ru 0.9720 0.2220 0.7500 1
```

Largest 6 diffraction maxima, by angle, 10° ≤ 2θ ≤ 80°:
| 2θ/deg | d [Å] | Rel. int. |
| --- | --- | --- |
| 28.45 | 3.137 | 21 |
| 37.00 | 2.430 | 100 |
| 40.68 | 2.218 | 47 |
| 44.10 | 2.053 | 82 |
| 61.54 | 1.507 | 34 |
| 76.42 | 1.246 | 26 |

=====

Entry 8:
Starting from a structure optimized by DFT (GGA-PBE), the powder diffractogram of BiSb was computed for a wavelength of 1.5418 Å.

Structure:
```
data_BiSb
_chemical_formula_sum 'Bi8 Sb8'
_symmetry_space_group_name_H-M 'P 1'
_symmetry_Int_Tables_number 1
_symmetry_space_group_name_Hall 'P 1'
_cell_length_a 10.6077
_cell_length_b 10.6077
_cell_length_c 6.2033
_cell_angle_alpha 90.00
_cell_angle_beta 90.00
_cell_angle_gamma 90.00
loop_
_atom_site_label
_atom_site_type_symbol
_atom_site_fract_x
_atom_site_fract_y
_atom_site_fract_z
_atom_site_occupancy
Bi1 Bi 0.1151 0.3322 0.0000 1
Bi2 Bi 0.1151 0.6678 0.5000 1
Bi3 Bi 0.3322 0.1151 0.5000 1
Bi4 Bi 0.3322 0.8849 0.0000 1
Bi5 Bi 0.6678 0.1151 0.0000 1
Bi6 Bi 0.6678 0.8849 0.5000 1
Bi7 Bi 0.8849 0.3322 0.5000 1
Bi8 Bi 0.8849 0.6678 0.0000 1
Sb1 Sb 0.1692 0.3858 0.5000 1
Sb2 Sb 0.1692 0.6142 0.0000 1
Sb3 Sb 0.3858 0.1692 0.0000 1
Sb4 Sb 0.3858 0.8308 0.5000 1
Sb5 Sb 0.6142 0.1692 0.5000 1
Sb6 Sb 0.6142 0.8308 0.0000 1
Sb7 Sb 0.8308 0.3858 0.0000 1
Sb8 Sb 0.8308 0.6142 0.5000 1
```

Largest 6 diffraction maxima, by angle, 10° ≤ 2θ ≤ 80°:
| 2θ/deg | d [Å] | Rel. int. |
| --- | --- | --- |
| 11.80 | 7.501 | 100 |
| 26.57 | 3.354 | 60 |
| 28.78 | 3.102 | 47 |
| 30.29 | 2.951 | 46 |
| 39.57 | 2.277 | 43 |
| 40.73 | 2.216 | 45 |

=====

Entry 9:
Starting from a structure optimized by DFT (GGA-PBE), the powder diffractogram of Zn3CoI9 was computed for a wavelength of 1.5418 Å.

Structure:
```
data_Zn3CoI9
_chemical_formula_sum 'Zn6 Co2 I18'
_symmetry_space_group_name_H-M 'P 1'
_symmetry_Int_Tables_number 1
_symmetry_space_group_name_Hall 'P 1'
_cell_length_a 11.4154
_cell_length_b 11.4154
_cell_length_c 14.5879
_cell_angle_alpha 128.02
_cell_angle_beta 128.02
_cell_angle_gamma 48.69
loop_
_atom_site_label
_atom_site_type_symbol
_atom_site_fract_x
_atom_site_fract_y
_atom_site_fract_z
_atom_site_occupancy
Zn1 Zn 0.1312 0.8688 0.5000 1
Zn2 Zn 0.4668 0.8487 0.8974 1
Zn3 Zn 0.6140 0.9944 0.4015 1
Zn4 Zn 0.8487 0.4668 0.3974 1
Zn5 Zn 0.8688 0.1312 0.0000 1
Zn6 Zn 0.9944 0.6140 0.9015 1
Co1 Co 0.2198 0.3362 0.1621 1
Co2 Co 0.3362 0.2198 0.6621 1
I1 I 0.0534 0.8078 0.9053 1
I2 I 0.1004 0.3209 0.7205 1
I3 I 0.1142 0.5969 0.1199 1
I4 I 0.1521 0.4461 0.5661 1
I5 I 0.1611 0.9126 0.7120 1
I6 I 0.2427 0.5328 0.3925 1
I7 I 0.3153 0.9427 0.5041 1
I8 I 0.3209 0.1004 0.2205 1
I9 I 0.4461 0.1521 0.0661 1
I10 I 0.5086 0.6398 0.9416 1
I11 I 0.5328 0.2427 0.8925 1
I12 I 0.5969 0.1142 0.6199 1
I13 I 0.6398 0.5086 0.4416 1
I14 I 0.6661 0.7277 0.7912 1
I15 I 0.7277 0.6661 0.2912 1
I16 I 0.8078 0.0534 0.4053 1
I17 I 0.9126 0.1611 0.2120 1
I18 I 0.9427 0.3153 0.0041 1
```

Largest 6 diffraction maxima, by angle, 10° ≤ 2θ ≤ 80°:
| 2θ/deg | d [Å] | Rel. int. |
| --- | --- | --- |
| 16.27 | 5.448 | 55 |
| 26.32 | 3.385 | 100 |
| 26.65 | 3.345 | 45 |
| 26.72 | 3.336 | 46 |
| 27.12 | 3.288 | 68 |
| 29.08 | 3.070 | 33 |

=====

Entry 10:
Starting from a structure optimized by DFT (GGA-PBE), the powder diffractogram of AcScAlGe2 was computed for a wavelength of 1.5418 Å.

Structure:
```
data_AcScAlGe2
_chemical_formula_sum 'Ac2 Sc2 Al2 Ge4'
_symmetry_space_group_name_H-M 'P 1'
_symmetry_Int_Tables_number 1
_symmetry_space_group_name_Hall 'P 1'
_cell_length_a 4.3151
_cell_length_b 4.3151
_cell_length_c 12.4299
_cell_angle_alpha 90.00
_cell_angle_beta 90.00
_cell_angle_gamma 90.00
loop_
_atom_site_label
_atom_site_type_symbol
_atom_site_fract_x
_atom_site_fract_y
_atom_site_fract_z
_atom_site_occupancy
Ac1 Ac 0.0000 0.0000 0.0000 1
Ac2 Ac 0.5000 0.5000 0.5000 1
Sc1 Sc 0.0000 0.5000 0.7500 1
Sc2 Sc 0.5000 0.0000 0.2500 1
Al1 Al 0.0000 0.5000 0.2500 1
Al2 Al 0.5000 0.0000 0.7500 1
Ge1 Ge 0.0000 0.0000 0.3842 1
Ge2 Ge 0.0000 0.0000 0.6158 1
Ge3 Ge 0.5000 0.5000 0.1158 1
Ge4 Ge 0.5000 0.5000 0.8842 1
```

Largest 6 diffraction maxima, by angle, 10° ≤ 2θ ≤ 80°:
| 2θ/deg | d [Å] | Rel. int. |
| --- | --- | --- |
| 29.27 | 3.051 | 50 |
| 29.90 | 2.989 | 100 |
| 32.70 | 2.739 | 81 |
| 41.91 | 2.156 | 95 |
| 52.30 | 1.749 | 43 |
| 60.74 | 1.525 | 50 |

=====

Entry 11:
Starting from a structure optimized by DFT (GGA-PBE), the powder diffractogram of BaNaP2 was computed for a wavelength of 1.5418 Å.

Structure:
```
data_BaNaP2
_chemical_formula_sum 'Ba4 Na4 P8'
_symmetry_space_group_name_H-M 'P 1'
_symmetry_Int_Tables_number 1
_symmetry_space_group_name_Hall 'P 1'
_cell_length_a 8.6551
_cell_length_b 4.2254
_cell_length_c 11.1189
_cell_angle_alpha 90.00
_cell_angle_beta 90.00
_cell_angle_gamma 90.00
loop_
_atom_site_label
_atom_site_type_symbol
_atom_site_fract_x
_atom_site_fract_y
_atom_site_fract_z
_atom_site_occupancy
Ba1 Ba 0.1206 0.2500 0.1320 1
Ba2 Ba 0.3794 0.7500 0.6320 1
Ba3 Ba 0.6206 0.2500 0.3680 1
Ba4 Ba 0.8794 0.7500 0.8680 1
Na1 Na 0.0064 0.2500 0.6106 1
Na2 Na 0.4936 0.7500 0.1106 1
Na3 Na 0.5064 0.2500 0.8894 1
Na4 Na 0.9936 0.7500 0.3894 1
P1 P 0.1827 0.2500 0.8291 1
P2 P 0.2416 0.2500 0.4122 1
P3 P 0.2584 0.7500 0.9122 1
P4 P 0.3173 0.7500 0.3291 1
P5 P 0.6827 0.2500 0.6709 1
P6 P 0.7416 0.2500 0.0878 1
P7 P 0.7584 0.7500 0.5878 1
P8 P 0.8173 0.7500 0.1709 1
```

Largest 6 diffraction maxima, by angle, 10° ≤ 2θ ≤ 80°:
| 2θ/deg | d [Å] | Rel. int. |
| --- | --- | --- |
| 12.96 | 6.830 | 69 |
| 28.47 | 3.136 | 99 |
| 29.55 | 3.023 | 100 |
| 32.20 | 2.780 | 52 |
| 33.79 | 2.652 | 54 |
| 44.26 | 2.046 | 51 |

=====

Entry 12:
Starting from a structure optimized by DFT (GGA-PBE), the powder diffractogram of Dy3Ho12Zr was computed for a wavelength of 1.5418 Å.

Structure:
```
data_Dy3Ho12Zr
_chemical_formula_sum 'Dy3 Ho12 Zr1'
_symmetry_space_group_name_H-M 'P 1'
_symmetry_Int_Tables_number 1
_symmetry_space_group_name_Hall 'P 1'
_cell_length_a 4.9592
_cell_length_b 4.9592
_cell_length_c 19.7820
_cell_angle_alpha 90.00
_cell_angle_beta 90.00
_cell_angle_gamma 90.00
loop_
_atom_site_label
_atom_site_type_symbol
_atom_site_fract_x
_atom_site_fract_y
_atom_site_fract_z
_atom_site_occupancy
Dy1 Dy 0.0000 0.0000 0.0000 1
Dy2 Dy 0.0000 0.0000 0.2522 1
Dy3 Dy 0.0000 0.0000 0.7478 1
Ho1 Ho 0.0000 0.5000 0.1269 1
Ho2 Ho 0.0000 0.5000 0.3821 1
Ho3 Ho 0.0000 0.5000 0.6179 1
Ho4 Ho 0.0000 0.5000 0.8731 1
Ho5 Ho 0.5000 0.0000 0.1269 1
Ho6 Ho 0.5000 0.0000 0.3821 1
Ho7 Ho 0.5000 0.0000 0.6179 1
Ho8 Ho 0.5000 0.0000 0.8731 1
Ho9 Ho 0.5000 0.5000 0.0000 1
Ho10 Ho 0.5000 0.5000 0.2530 1
Ho11 Ho 0.5000 0.5000 0.5000 1
Ho12 Ho 0.5000 0.5000 0.7470 1
Zr1 Zr 0.0000 0.0000 0.5000 1
```

Largest 6 diffraction maxima, by angle, 10° ≤ 2θ ≤ 80°:
| 2θ/deg | d [Å] | Rel. int. |
| --- | --- | --- |
| 31.27 | 2.861 | 100 |
| 36.23 | 2.480 | 34 |
| 36.33 | 2.473 | 16 |
| 52.22 | 1.752 | 35 |
| 62.09 | 1.495 | 28 |
| 62.23 | 1.492 | 13 |